For InNi, the GGA-PBE geometry in OQMD gives the simulated powder diffractogram in this record (Cu Kα (λ = 1.5418 Å)).
Intensities are scaled so that the largest is 1000.

Structure:
```
InNi
1.0
5.266 0.000 0.000
-2.633 4.560 0.000
0.000 0.000 4.374
In Ni
3 3
Cartesian
0.000 0.000 0.000 In
0.000 3.040 2.187 In
2.633 1.520 2.187 In
-1.316 2.280 0.000 Ni
2.633 0.000 0.000 Ni
1.316 2.280 0.000 Ni
```

Principal peaks in the range 2θ from 10° to 90°, sorted by position:
2theta  intensity
28.3  551
34.1  486
39.5  150
40.0  253
41.3  345
44.8  1000
54.5  245
57.5  146
71.7  187
77.7  182
86.2  229
88.7  132

=====

For TmSi2Ni10, the GGA-PBE geometry in OQMD gives the simulated powder diffractogram in this record (Cu Kα (λ = 1.5418 Å)).
Intensities are scaled so that the largest is 1000.

Structure:
```
TmSi2Ni10
1.0
8.137 0.000 0.000
0.000 8.137 0.000
0.000 0.000 4.656
Tm Si Ni
2 4 20
Cartesian
2.034 2.034 1.034 Tm
6.103 6.103 3.622 Tm
0.000 0.000 2.328 Si
0.000 4.069 2.328 Si
4.069 0.000 2.328 Si
4.069 4.069 2.328 Si
0.000 0.000 0.000 Ni
0.000 4.069 0.000 Ni
0.231 2.034 3.398 Ni
0.833 6.103 3.537 Ni
2.034 0.231 3.398 Ni
2.034 3.838 3.398 Ni
2.034 4.901 1.120 Ni
2.034 7.305 1.120 Ni
3.236 6.103 3.537 Ni
3.838 2.034 3.398 Ni
4.069 0.000 0.000 Ni
4.069 4.069 0.000 Ni
4.300 6.103 1.259 Ni
4.901 2.034 1.120 Ni
6.103 0.833 3.537 Ni
6.103 3.236 3.537 Ni
6.103 4.300 1.259 Ni
6.103 7.907 1.259 Ni
7.305 2.034 1.120 Ni
7.907 6.103 1.259 Ni
```

Principal peaks in the range 2θ from 10° to 90°, sorted by position:
2theta  intensity
31.2  211
34.9  101
38.4  342
38.7  155
44.6  1000
44.9  345
50.2  88
50.4  133
74.1  119
80.2  62
82.1  144
82.3  110